[1]
Computed powder XRD pattern of Mg2Sc2Sb for λ = 1.5418 Å (Cu Kα), from a DFT-relaxed cell (PBE, Alexandria).
Intensities are scaled so that the largest is 100.

Principal peaks in the range 10 to 90 degrees two-theta, by angle:
2θ/deg	Rel. int.	hkl
16.9	35	1 1 0
18.9	70	0 0 1
25.5	63	1 1 1
30.7	35	2 0 1
33.0	63	2 1 1
34.1	22	2 2 0
38.3	100	0 0 2
39.3	27	2 2 1
43.1	50	3 1 1
55.4	60	3 1 2

```
data_Mg2Sc2Sb
_symmetry_space_group_name_H-M 'P 1'
_symmetry_Int_Tables_number 1
_cell_length_a 7.426
_cell_length_b 7.426
_cell_length_c 4.691
_cell_angle_alpha 90.00
_cell_angle_beta 90.00
_cell_angle_gamma 90.00
loop_
_symmetry_equiv_pos_as_xyz
'x,y,z'
loop_
_atom_site_label
_atom_site_fract_x
_atom_site_fract_y
_atom_site_fract_z
Mg1 0.148 0.352 0.000
Mg2 0.352 0.852 0.000
Mg3 0.648 0.148 0.000
Mg4 0.852 0.648 0.000
Sc1 0.153 0.653 0.500
Sc2 0.347 0.153 0.500
Sc3 0.653 0.847 0.500
Sc4 0.847 0.347 0.500
Sb1 0.000 0.000 0.500
Sb2 0.500 0.500 0.500
```

=====

[2]
Computed powder XRD pattern of MgSbSe for λ = 1.5418 Å (Cu Kα), from a DFT-relaxed cell (PBE, Alexandria).
Intensities are scaled so that the largest is 100.

Principal peaks in the range 10 to 90 degrees two-theta, by angle:
2θ/deg	Rel. int.	hkl
24.9	20	0 0 3
26.7	100	1 1 1
31.1	38	2 0 -3
33.0	40	2 0 2
39.4	15	2 0 3
42.6	51	0 2 0
44.1	15	1 1 4
46.6	11	1 1 -5
50.9	11	2 2 -2
68.5	13	4 2 0

```
data_MgSbSe
_symmetry_space_group_name_H-M 'P 1'
_symmetry_Int_Tables_number 1
_cell_length_a 7.348
_cell_length_b 4.250
_cell_length_c 11.010
_cell_angle_alpha 90.00
_cell_angle_beta 102.96
_cell_angle_gamma 90.00
loop_
_symmetry_equiv_pos_as_xyz
'x,y,z'
loop_
_atom_site_label
_atom_site_fract_x
_atom_site_fract_y
_atom_site_fract_z
Mg1 0.000 0.000 0.000
Mg2 0.057 0.500 0.676
Mg3 0.500 0.500 0.000
Mg4 0.557 0.000 0.676
Sb1 0.120 0.000 0.368
Sb2 0.403 0.000 0.217
Sb3 0.620 0.500 0.368
Sb4 0.903 0.500 0.217
Se1 0.140 0.500 0.922
Se2 0.363 0.500 0.594
Se3 0.640 0.000 0.922
Se4 0.863 0.000 0.594
```